Record 1
Calculated powder diffractogram
Compound: SrMg6Cr
Radiation: a wavelength of 1.5418 Å
Structure: the PBE geometry in Alexandria

Main lines, by intensity (5 to 70 degrees two-theta):
Position (°2θ)  d (Å)  intensity
35.75  2.512  100
34.41  2.606  61
15.41  5.749  41
34.73  2.583  40
31.12  2.874  33
31.32  2.856  26
22.65  3.925  23
47.31  1.921  20
23.15  3.843  20
62.91  1.477  18
65.35  1.428  16
67.67  1.385  16

Cell and atoms:
Cell lengths 5.166, 6.865, 6.865 Å; angles 56.86, 90.00, 90.00 degrees
Element x y z (fractional)
Sr (0.000, 0.000, 0.000)
Mg (0.000, 0.011, 0.513)
Mg (0.000, 0.513, 0.011)
Mg (0.000, 0.533, 0.533)
Mg (0.500, 0.368, 0.368)
Mg (0.500, 0.378, 0.860)
Mg (0.500, 0.860, 0.378)
Cr (0.500, 0.829, 0.829)



Record 2
Calculated powder diffractogram
Compound: Mg6TiCr
Radiation: a wavelength of 1.5418 Å
Structure: the PBE geometry in Alexandria

Main lines, by intensity (5 to 70 degrees two-theta):
Position (°2θ)  d (Å)  intensity
38.13  2.360  100
37.82  2.379  53
35.98  2.496  40
33.45  2.679  28
66.11  1.413  18
49.94  1.826  17
59.36  1.557  16
16.38  5.411  15
33.11  2.706  13
17.77  4.992  10
65.90  1.417  9
60.02  1.541  8

Cell and atoms:
Cell lengths 4.992, 6.228, 6.228 Å; angles 59.34, 90.00, 90.00 degrees
Element x y z (fractional)
Mg (0.000, 0.000, 0.000)
Mg (0.000, 0.010, 0.510)
Mg (0.000, 0.498, 0.498)
Mg (0.000, 0.510, 0.010)
Mg (0.500, 0.339, 0.842)
Mg (0.500, 0.842, 0.339)
Ti (0.500, 0.840, 0.840)
Cr (0.500, 0.339, 0.339)



Record 3
Calculated powder diffractogram
Compound: MgTiCr3
Radiation: a wavelength of 1.5418 Å
Structure: the PBE geometry in Alexandria

Main lines, by intensity (5 to 70 degrees two-theta):
Position (°2θ)  d (Å)  intensity
41.45  2.179  100
35.69  2.516  75
20.38  4.357  73
60.06  1.540  60
46.61  1.949  28
64.12  1.452  12
28.98  3.081  4
51.37  1.779  1
68.05  1.378  1

Cell and atoms:
Cell lengths 4.357, 4.357, 4.357 Å; angles 90.00, 90.00, 90.00 degrees
Element x y z (fractional)
Mg (0.000, 0.000, 0.000)
Ti (0.500, 0.500, 0.500)
Cr (0.000, 0.500, 0.500)
Cr (0.500, 0.000, 0.500)
Cr (0.500, 0.500, 0.000)